Calculated powder diffractogram of Cu10Sn for Cu Kα X-rays, from a structure optimized by DFT (GGA-PBE).

Principal peaks in the range 10 to 80 degrees two-theta, in order of falling intensity:
Position (°2θ), I (rel.), hkl
43.7, 100.0, 3 1 -4
43.9, 87.2, 1 1 12
51.0, 84.4, 0 2 0
41.6, 55.4, 1 1 11
43.0, 41.5, 3 1 -3
75.0, 30.8, 4 2 8
11.1, 21.4, 0 0 4
44.5, 19.9, 3 1 -5
48.3, 19.4, 2 0 -15
51.1, 17.4, 0 2 1

Structural model:
```
data_Cu10Sn
_cell_length_a 8.0283
_cell_length_b 3.5809
_cell_length_c 31.9652
_cell_angle_alpha 90.00
_cell_angle_beta 90.20
_cell_angle_gamma 90.00
_space_group_name_H-M_alt 'C 1 2/m 1'
_space_group_IT_number 12
loop_
_space_group_symop_operation_xyz
'x,y,z'
'-x,-y,-z'
'-x,y,-z'
'x,-y,z'
'x+1/2,y+1/2,z'
'-x+1/2,-y+1/2,-z'
'-x+1/2,y+1/2,-z'
'x+1/2,-y+1/2,z'
loop_
_atom_site_label
_atom_site_type_symbol
_atom_site_fract_x
_atom_site_fract_y
_atom_site_fract_z
Cu1 Cu 0.0488 0.0000 0.2862
Cu2 Cu 0.0494 0.5000 0.4125
Cu3 Cu 0.0503 0.0000 0.5375
Cu4 Cu 0.0514 0.5000 0.6629
Cu5 Cu 0.1466 0.5000 0.7391
Cu6 Cu 0.1485 0.0000 0.3625
Cu7 Cu 0.1501 0.5000 0.4874
Cu8 Cu 0.1512 0.0000 0.6129
Cu9 Cu 0.2479 0.5000 0.3116
Cu10 Cu 0.2500 0.0000 0.4375
Sn1 Sn 0.1527 0.5000 0.2231
```